This entry pairs a crystal structure of RbCrI3 with its computed powder X-ray diffraction pattern. Radiation: copper Kα. Structure: a cell relaxed with PBE.
Intensities are scaled so that the largest is 100.

Structural model:
Lattice parameters (Å, degrees): 14.041 8.126 14.421 90.00 96.05 90.00
Space group C2 (No. 5)
Unique sites:
Rb 0.162 0.000 0.119 [4 per cell]
Rb 0.166 0.033 0.618 [4 per cell]
Cr 0.000 0.480 0.000 [2 per cell]
Cr 0.000 0.551 0.500 [2 per cell]
Cr 0.001 0.513 0.250 [4 per cell]
I 0.076 0.722 0.892 [4 per cell]
I 0.080 0.309 0.394 [4 per cell]
I 0.082 0.788 0.396 [4 per cell]
I 0.085 0.244 0.897 [4 per cell]
I 0.167 0.498 0.164 [4 per cell]
I 0.167 0.525 0.664 [4 per cell]

The 12 most intense peaks (10° ≤ 2θ ≤ 80°), by intensity:
two_theta, I_rel
27.69, 100
28.90, 96
27.21, 64
12.63, 59
24.83, 55
44.88, 50
29.62, 50
25.36, 29
34.80, 27
44.60, 18
28.55, 18
36.76, 17

=====

This entry pairs a crystal structure of Er2H8S3O16 with its computed powder X-ray diffraction pattern. Radiation: copper Kα. Structure: a cell relaxed with PBE.
Intensities are scaled so that the largest is 100.

Structural model:
Lattice parameters (Å, degrees): 6.717 9.235 10.540 93.21 107.20 100.10
Space group P-1 (No. 2)
Unique sites:
Er 0.066 0.381 0.336 [2 per cell]
Er 0.265 0.170 0.867 [2 per cell]
H 0.144 0.070 0.360 [2 per cell]
H 0.197 0.404 0.035 [2 per cell]
H 0.277 0.492 0.927 [2 per cell]
H 0.284 0.096 0.150 [2 per cell]
H 0.300 0.949 0.657 [2 per cell]
H 0.355 0.183 0.443 [2 per cell]
H 0.475 0.229 0.162 [2 per cell]
H 0.481 0.090 0.666 [2 per cell]
S 0.157 0.777 0.413 [2 per cell]
S 0.159 0.808 0.976 [2 per cell]
S 0.395 0.486 0.686 [2 per cell]
O 0.019 0.668 0.893 [2 per cell]
O 0.029 0.879 0.335 [2 per cell]
O 0.063 0.858 0.075 [2 per cell]
O 0.083 0.628 0.335 [2 per cell]
O 0.119 0.769 0.546 [2 per cell]
O 0.173 0.919 0.879 [2 per cell]
O 0.224 0.174 0.367 [2 per cell]
O 0.277 0.401 0.970 [2 per cell]
O 0.282 0.464 0.540 [2 per cell]
O 0.297 0.593 0.750 [2 per cell]
O 0.358 0.157 0.099 [2 per cell]
O 0.370 0.777 0.043 [2 per cell]
O 0.373 0.344 0.741 [2 per cell]
O 0.378 0.448 0.288 [2 per cell]
O 0.385 0.834 0.437 [2 per cell]
O 0.386 0.040 0.714 [2 per cell]

The 12 most intense peaks (10° ≤ 2θ ≤ 80°), by intensity:
two_theta, I_rel
20.63, 100
14.11, 97
19.41, 84
18.93, 75
13.94, 65
21.27, 62
22.73, 54
28.01, 51
27.06, 49
26.00, 44
18.75, 42
27.43, 39

=====

This entry pairs a crystal structure of TlBrO4 with its computed powder X-ray diffraction pattern. Radiation: copper Kα. Structure: a cell relaxed with PBE.
Intensities are scaled so that the largest is 100.

Structural model:
Lattice parameters (Å, degrees): 9.393 6.272 7.894 90.00 90.00 90.00
Space group Pnma (No. 62)
Unique sites:
Tl 0.176 0.250 0.167 [4 per cell]
Br 0.074 0.250 0.685 [4 per cell]
O 0.076 0.750 0.423 [4 per cell]
O 0.082 0.035 0.808 [8 per cell]
O 0.213 0.250 0.556 [4 per cell]

The 12 most intense peaks (10° ≤ 2θ ≤ 80°), by intensity:
two_theta, I_rel
23.67, 100
26.26, 69
24.46, 54
28.36, 50
28.46, 50
37.87, 44
40.06, 31
32.90, 30
38.31, 29
39.45, 28
22.53, 28
49.88, 24

=====

This entry pairs a crystal structure of MgIrN2 with its computed powder X-ray diffraction pattern. Radiation: copper Kα. Structure: a cell relaxed with PBE.
Intensities are scaled so that the largest is 100.

Structural model:
Lattice parameters (Å, degrees): 4.713 4.713 9.284 90.00 90.00 90.00
Space group I-42d (No. 122)
Unique sites:
Mg 0.000 0.000 0.000 [4 per cell]
Ir 0.000 0.000 0.500 [4 per cell]
N 0.228 0.250 0.625 [8 per cell]

The 12 most intense peaks (10° ≤ 2θ ≤ 80°), by intensity:
two_theta, I_rel
33.09, 100
21.14, 88
65.82, 28
55.58, 27
38.19, 26
44.06, 25
34.68, 24
52.53, 16
55.12, 14
66.64, 13
38.80, 12
69.44, 10